No. 1
Computed XRD peak list of Sm4Er7Sc for a wavelength of 1.5418 Å, from a GGA-PBE-relaxed structure.
Kinematic intensities with the Lorentz-polarization factor, no thermal factor.

Peak list (6 most intense, 2θ = 5–70°, sorted by position)
2θ = 30.53°, 2.928 Å, I = 34, hkl 0 0 3
2θ = 31.45°, 2.844 Å, I = 40, hkl 2 0 2
2θ = 32.06°, 2.791 Å, I = 100, hkl 1 -2 0
2θ = 32.60°, 2.746 Å, I = 87, hkl 2 0 -1
2θ = 32.77°, 2.733 Å, I = 19, hkl 0 1 3
2θ = 57.83°, 1.594 Å, I = 18, hkl -3 2 1

Structure:
Unit cell a=6.4300 b=6.7370 c=9.0289 alpha=85.30 beta=76.94 gamma=81.82
Space group P-1 (No. 2)
Asymmetric unit:
Sm: 0.1528 0.3192 0.2801
Sm: 0.3320 0.8811 0.6957
Er: 0.0004 0.2556 0.9525
Er: 0.1746 0.8100 0.3637
Er: 0.3150 0.3911 0.6212
Er: 0.5000 0.0000 0.0000
Sc: 0.5000 0.5000 0.0000

=====

No. 2
Computed XRD peak list of Mg3As2O8 for a wavelength of 1.5418 Å, from a GGA-PBE-relaxed structure.
Kinematic intensities with the Lorentz-polarization factor, no thermal factor.

Peak list (6 most intense, 2θ = 5–70°, sorted by position)
2θ = 18.77°, 4.727 Å, I = 75, hkl 1 1 1
2θ = 21.28°, 4.176 Å, I = 81, hkl 0 2 1
2θ = 28.74°, 3.107 Å, I = 88, hkl 1 1 -3
2θ = 29.43°, 3.035 Å, I = 60, hkl 2 1 -1
2θ = 30.26°, 2.953 Å, I = 62, hkl 2 1 1
2θ = 32.28°, 2.773 Å, I = 100, hkl 0 0 4

Structure:
Unit cell a=6.6336 b=9.0143 c=11.1092 alpha=90.00 beta=93.19 gamma=90.00
Space group P2_1/c (No. 14)
Asymmetric unit:
Mg: 0.0828 0.2114 0.0773
Mg: 0.2410 0.6482 0.6344
Mg: 0.3854 0.0321 0.6214
As: 0.1041 0.0583 0.3545
As: 0.4142 0.6227 0.3593
O: 0.0430 0.2359 0.3958
O: 0.0784 0.0727 0.6202
O: 0.1259 0.0461 0.2006
O: 0.2161 0.6394 0.4538
O: 0.3261 0.0004 0.4271
O: 0.3303 0.6668 0.2141
O: 0.3951 0.2408 0.0918
O: 0.4801 0.0577 0.8374

=====

No. 3
Computed XRD peak list of Y3HoIn4 for a wavelength of 1.5418 Å, from a GGA-PBE-relaxed structure.
Kinematic intensities with the Lorentz-polarization factor, no thermal factor.

Peak list (6 most intense, 2θ = 5–70°, sorted by position)
2θ = 5.88°, 15.038 Å, I = 5, hkl 0 0 1
2θ = 11.77°, 7.519 Å, I = 1, hkl 0 0 2
2θ = 24.38°, 3.651 Å, I = 1, hkl 1 0 1
2θ = 33.69°, 2.660 Å, I = 100, hkl 1 1 0
2θ = 48.39°, 1.881 Å, I = 18, hkl 2 0 0
2θ = 60.25°, 1.536 Å, I = 36, hkl 2 1 4

Structure:
Unit cell a=3.7637 b=3.7637 c=15.0384 alpha=90.00 beta=90.00 gamma=90.00
Space group P4/mmm (No. 123)
Asymmetric unit:
Y: 0.0000 0.0000 0.0000
Y: 0.0000 0.0000 0.2513
Ho: 0.0000 0.0000 0.5000
In: 0.5000 0.5000 0.1257
In: 0.5000 0.5000 0.3768